Starting from the GGA-PBE geometry in Alexandria, the powder XRD pattern of TlCuAg2Br6 was simulated for Cu Kα (weighted mean of Kα1 and Kα2).
Lines closer than 0.1° are merged.

Principal peaks in the range 5 to 70 degrees two-theta, in order of rising 2θ:
- 2θ = 17.30°, I 251
- 2θ = 18.80°, I 996
- 2θ = 19.36°, I 1000
- 2θ = 20.09°, I 250
- 2θ = 28.27°, I 453
- 2θ = 31.01°, I 520
- 2θ = 32.25°, I 445
- 2θ = 34.97°, I 526
- 2θ = 36.11°, I 319
- 2θ = 40.26°, I 266

Structural model:
a = 10.214 Å, b = 10.214 Å, c = 8.920 Å
α = 114.27°, β = 114.27°, γ = 71.69°
Element x y z (fractional)
1 Tl 0.240 0.760 0.750
2 Tl 0.760 0.240 0.250
3 Cu 0.318 0.682 0.250
4 Cu 0.682 0.318 0.750
5 Ag 0.135 0.292 0.143
6 Ag 0.292 0.135 0.643
7 Ag 0.708 0.865 0.357
8 Ag 0.865 0.708 0.857
9 Br 0.107 0.249 0.403
10 Br 0.160 0.599 0.962
11 Br 0.249 0.107 0.903
12 Br 0.255 0.534 0.349
13 Br 0.401 0.840 0.538
14 Br 0.466 0.745 0.151
15 Br 0.534 0.255 0.849
16 Br 0.599 0.160 0.462
17 Br 0.745 0.466 0.651
18 Br 0.751 0.893 0.097
19 Br 0.840 0.401 0.038
20 Br 0.893 0.751 0.597

=====

Starting from the GGA-PBE geometry in Alexandria, the powder XRD pattern of TlCu3Ag4Br12 was simulated for Cu Kα (weighted mean of Kα1 and Kα2).
Lines closer than 0.1° are merged.

Principal peaks in the range 5 to 70 degrees two-theta, in order of rising 2θ:
- 2θ = 24.41°, I 681
- 2θ = 27.34°, I 907
- 2θ = 32.48°, I 555
- 2θ = 34.79°, I 295
- 2θ = 42.95°, I 1000
- 2θ = 44.80°, I 184
- 2θ = 51.67°, I 203
- 2θ = 56.42°, I 252
- 2θ = 60.91°, I 181
- 2θ = 68.01°, I 153

Structural model:
a = 8.933 Å, b = 8.933 Å, c = 8.933 Å
α = 109.47°, β = 109.47°, γ = 109.47°
Element x y z (fractional)
1 Tl 0.000 0.000 0.000
2 Cu 0.000 0.500 0.500
3 Cu 0.500 0.000 0.500
4 Cu 0.500 0.500 0.000
5 Ag 0.000 0.000 0.500
6 Ag 0.000 0.500 0.000
7 Ag 0.500 0.000 0.000
8 Ag 0.500 0.500 0.500
9 Br 0.163 0.835 0.327
10 Br 0.165 0.327 0.492
11 Br 0.165 0.673 0.837
12 Br 0.327 0.163 0.835
13 Br 0.327 0.492 0.165
14 Br 0.492 0.165 0.327
15 Br 0.508 0.835 0.673
16 Br 0.673 0.508 0.835
17 Br 0.673 0.837 0.165
18 Br 0.835 0.327 0.163
19 Br 0.835 0.673 0.508
20 Br 0.837 0.165 0.673

=====

Starting from the GGA-PBE geometry in Alexandria, the powder XRD pattern of DyAg2Br5 was simulated for Cu Kα (weighted mean of Kα1 and Kα2).
Lines closer than 0.1° are merged.

Principal peaks in the range 5 to 70 degrees two-theta, in order of rising 2θ:
- 2θ = 12.45°, I 501
- 2θ = 12.59°, I 462
- 2θ = 17.96°, I 535
- 2θ = 18.14°, I 1000
- 2θ = 25.45°, I 483
- 2θ = 28.05°, I 478
- 2θ = 28.38°, I 414
- 2θ = 35.84°, I 710
- 2θ = 36.02°, I 440
- 2θ = 36.39°, I 490

Structural model:
a = 5.687 Å, b = 7.540 Å, c = 7.609 Å
α = 82.34°, β = 69.17°, γ = 68.85°
Element x y z (fractional)
1 Dy 0.000 0.000 0.000
2 Ag 0.500 0.522 0.959
3 Ag 0.512 0.997 0.495
4 Br 0.049 0.669 0.220
5 Br 0.271 0.768 0.672
6 Br 0.509 0.993 0.992
7 Br 0.744 0.230 0.318
8 Br 0.977 0.323 0.768

=====

Starting from the GGA-PBE geometry in Alexandria, the powder XRD pattern of DyAg2Br6 was simulated for Cu Kα (weighted mean of Kα1 and Kα2).
Lines closer than 0.1° are merged.

Principal peaks in the range 5 to 70 degrees two-theta, in order of rising 2θ:
- 2θ = 13.05°, I 1000
- 2θ = 14.14°, I 530
- 2θ = 17.88°, I 360
- 2θ = 25.21°, I 257
- 2θ = 26.27°, I 403
- 2θ = 27.85°, I 678
- 2θ = 33.62°, I 603
- 2θ = 36.62°, I 250
- 2θ = 39.65°, I 304
- 2θ = 39.98°, I 256

Structural model:
a = 9.904 Å, b = 9.904 Å, c = 7.155 Å
α = 104.59°, β = 104.59°, γ = 86.17°
Element x y z (fractional)
1 Dy 0.082 0.918 0.750
2 Dy 0.918 0.082 0.250
3 Ag 0.317 0.509 0.839
4 Ag 0.491 0.683 0.661
5 Ag 0.509 0.317 0.339
6 Ag 0.683 0.491 0.161
7 Br 0.050 0.182 0.656
8 Br 0.086 0.650 0.814
9 Br 0.182 0.050 0.156
10 Br 0.303 0.470 0.435
11 Br 0.350 0.914 0.686
12 Br 0.470 0.303 0.935
13 Br 0.530 0.697 0.065
14 Br 0.650 0.086 0.314
15 Br 0.697 0.530 0.565
16 Br 0.818 0.950 0.844
17 Br 0.914 0.350 0.186
18 Br 0.950 0.818 0.344

=====

Starting from the GGA-PBE geometry in Alexandria, the powder XRD pattern of DyAg3Br6 was simulated for Cu Kα (weighted mean of Kα1 and Kα2).
Lines closer than 0.1° are merged.

Principal peaks in the range 5 to 70 degrees two-theta, in order of rising 2θ:
- 2θ = 13.11°, I 300
- 2θ = 15.35°, I 1000
- 2θ = 25.81°, I 189
- 2θ = 30.98°, I 919
- 2θ = 32.06°, I 405
- 2θ = 34.63°, I 134
- 2θ = 44.22°, I 484
- 2θ = 44.58°, I 146
- 2θ = 46.12°, I 276
- 2θ = 55.64°, I 161

Structural model:
a = 7.879 Å, b = 7.883 Å, c = 8.143 Å
α = 61.52°, β = 61.49°, γ = 62.67°
Element x y z (fractional)
1 Dy 0.000 0.000 0.000
2 Ag 0.000 0.500 0.000
3 Ag 0.500 0.000 0.000
4 Ag 0.500 0.500 0.500
5 Br 0.223 0.738 0.772
6 Br 0.247 0.248 0.713
7 Br 0.266 0.773 0.225
8 Br 0.734 0.227 0.775
9 Br 0.753 0.752 0.287
10 Br 0.777 0.262 0.228

=====

Starting from the GGA-PBE geometry in Alexandria, the powder XRD pattern of KDyAg2Br8 was simulated for Cu Kα (weighted mean of Kα1 and Kα2).
Lines closer than 0.1° are merged.

Principal peaks in the range 5 to 70 degrees two-theta, in order of rising 2θ:
- 2θ = 11.62°, I 295
- 2θ = 13.73°, I 304
- 2θ = 21.15°, I 1000
- 2θ = 21.50°, I 292
- 2θ = 28.64°, I 668
- 2θ = 29.41°, I 730
- 2θ = 34.49°, I 584
- 2θ = 35.66°, I 397
- 2θ = 39.77°, I 446
- 2θ = 41.83°, I 753

Structural model:
a = 9.129 Å, b = 9.129 Å, c = 9.129 Å
α = 134.09°, β = 134.09°, γ = 66.95°
Element x y z (fractional)
1 K 0.000 0.000 0.000
2 Dy 0.250 0.750 0.500
3 Ag 0.500 0.500 0.000
4 Ag 0.750 0.250 0.500
5 Br 0.270 0.705 0.154
6 Br 0.295 0.449 0.566
7 Br 0.394 0.010 0.028
8 Br 0.551 0.116 0.846
9 Br 0.634 0.606 0.616
10 Br 0.884 0.730 0.434
11 Br 0.982 0.366 0.972
12 Br 0.990 0.018 0.384

=====

Starting from the GGA-PBE geometry in Alexandria, the powder XRD pattern of NaDyAg2Br6 was simulated for Cu Kα (weighted mean of Kα1 and Kα2).
Lines closer than 0.1° are merged.

Principal peaks in the range 5 to 70 degrees two-theta, in order of rising 2θ:
- 2θ = 14.78°, I 283
- 2θ = 16.67°, I 334
- 2θ = 22.75°, I 288
- 2θ = 28.02°, I 1000
- 2θ = 33.71°, I 189
- 2θ = 36.65°, I 957
- 2θ = 42.14°, I 170
- 2θ = 43.20°, I 597
- 2θ = 48.08°, I 240
- 2θ = 57.91°, I 235

Structural model:
a = 7.863 Å, b = 7.863 Å, c = 7.863 Å
α = 54.95°, β = 54.95°, γ = 54.95°
Element x y z (fractional)
1 Na 0.000 0.000 0.000
2 Dy 0.494 0.494 0.494
3 Ag 0.305 0.305 0.305
4 Ag 0.810 0.810 0.810
5 Br 0.096 0.708 0.416
6 Br 0.236 0.584 0.890
7 Br 0.416 0.096 0.708
8 Br 0.584 0.890 0.236
9 Br 0.708 0.416 0.096
10 Br 0.890 0.236 0.584

=====

Starting from the GGA-PBE geometry in Alexandria, the powder XRD pattern of RbDyAgBr6 was simulated for Cu Kα (weighted mean of Kα1 and Kα2).
Lines closer than 0.1° are merged.

Principal peaks in the range 5 to 70 degrees two-theta, in order of rising 2θ:
- 2θ = 11.53°, I 1000
- 2θ = 17.36°, I 463
- 2θ = 18.57°, I 450
- 2θ = 18.73°, I 542
- 2θ = 25.24°, I 555
- 2θ = 28.07°, I 743
- 2θ = 31.74°, I 482
- 2θ = 35.05°, I 887
- 2θ = 42.08°, I 512
- 2θ = 42.78°, I 315

Structural model:
a = 7.128 Å, b = 7.141 Å, c = 7.699 Å
α = 92.37°, β = 92.55°, γ = 115.17°
Element x y z (fractional)
1 Rb 0.000 0.000 0.000
2 Dy 0.336 0.666 0.501
3 Ag 0.681 0.320 0.501
4 Br 0.022 0.357 0.684
5 Br 0.028 0.622 0.257
6 Br 0.382 0.971 0.747
7 Br 0.408 0.369 0.285
8 Br 0.632 0.591 0.717
9 Br 0.645 0.980 0.319

=====

Starting from the GGA-PBE geometry in Alexandria, the powder XRD pattern of SrDyAgBr6 was simulated for Cu Kα (weighted mean of Kα1 and Kα2).
Lines closer than 0.1° are merged.

Principal peaks in the range 5 to 70 degrees two-theta, in order of rising 2θ:
- 2θ = 18.04°, I 998
- 2θ = 24.11°, I 251
- 2θ = 27.35°, I 832
- 2θ = 28.70°, I 292
- 2θ = 35.47°, I 1000
- 2θ = 36.54°, I 455
- 2θ = 41.47°, I 237
- 2θ = 44.26°, I 650
- 2θ = 45.56°, I 177
- 2θ = 56.45°, I 238

Structural model:
a = 6.955 Å, b = 6.955 Å, c = 13.065 Å
α = 90.00°, β = 90.00°, γ = 90.00°
Element x y z (fractional)
1 Sr 0.000 0.000 0.000
2 Sr 0.500 0.500 0.500
3 Dy 0.000 0.000 0.665
4 Dy 0.500 0.500 0.165
5 Ag 0.000 0.000 0.328
6 Ag 0.500 0.500 0.828
7 Br 0.188 0.188 0.501
8 Br 0.198 0.198 0.818
9 Br 0.211 0.211 0.172
10 Br 0.289 0.711 0.672
11 Br 0.302 0.698 0.318
12 Br 0.312 0.688 0.001
13 Br 0.688 0.312 0.001
14 Br 0.698 0.302 0.318
15 Br 0.711 0.289 0.672
16 Br 0.789 0.789 0.172
17 Br 0.802 0.802 0.818
18 Br 0.812 0.812 0.501

=====

Starting from the GGA-PBE geometry in Alexandria, the powder XRD pattern of RbEr2AgBr8 was simulated for Cu Kα (weighted mean of Kα1 and Kα2).
Lines closer than 0.1° are merged.

Principal peaks in the range 5 to 70 degrees two-theta, in order of rising 2θ:
- 2θ = 12.49°, I 301
- 2θ = 16.18°, I 984
- 2θ = 18.83°, I 454
- 2θ = 24.28°, I 516
- 2θ = 29.46°, I 327
- 2θ = 33.74°, I 1000
- 2θ = 36.51°, I 365
- 2θ = 38.21°, I 282
- 2θ = 42.20°, I 270
- 2θ = 43.21°, I 455

Structural model:
a = 7.170 Å, b = 7.282 Å, c = 8.565 Å
α = 89.93°, β = 90.00°, γ = 81.41°
Element x y z (fractional)
1 Rb 0.000 0.000 0.000
2 Er 0.500 0.500 0.259
3 Er 0.500 0.500 0.741
4 Ag 0.000 0.000 0.500
5 Br 0.275 0.839 0.718
6 Br 0.277 0.839 0.281
7 Br 0.279 0.378 0.500
8 Br 0.291 0.385 0.000
9 Br 0.709 0.615 0.000
10 Br 0.721 0.622 0.500
11 Br 0.723 0.161 0.719
12 Br 0.725 0.161 0.282

=====

Starting from the GGA-PBE geometry in Alexandria, the powder XRD pattern of Ag4Br4F was simulated for Cu Kα (weighted mean of Kα1 and Kα2).
Lines closer than 0.1° are merged.

Principal peaks in the range 5 to 70 degrees two-theta, in order of rising 2θ:
- 2θ = 24.67°, I 1000
- 2θ = 31.80°, I 108
- 2θ = 38.69°, I 137
- 2θ = 39.32°, I 269
- 2θ = 41.57°, I 416
- 2θ = 46.97°, I 249
- 2θ = 48.13°, I 66
- 2θ = 50.84°, I 103
- 2θ = 56.82°, I 87
- 2θ = 66.10°, I 58

Structural model:
a = 7.436 Å, b = 7.436 Å, c = 7.436 Å
α = 128.33°, β = 128.33°, γ = 76.10°
Element x y z (fractional)
1 Ag 0.089 0.665 0.000
2 Ag 0.335 0.335 0.424
3 Ag 0.665 0.089 0.000
4 Ag 0.911 0.911 0.576
5 Br 0.000 0.500 0.500
6 Br 0.290 0.290 0.000
7 Br 0.500 0.000 0.500
8 Br 0.710 0.710 0.000
9 F 0.000 0.000 0.000

=====

Starting from the GGA-PBE geometry in Alexandria, the powder XRD pattern of Ag5BrF4 was simulated for Cu Kα (weighted mean of Kα1 and Kα2).
Lines closer than 0.1° are merged.

Principal peaks in the range 5 to 70 degrees two-theta, in order of rising 2θ:
- 2θ = 29.86°, I 1000
- 2θ = 33.61°, I 568
- 2θ = 35.11°, I 997
- 2θ = 43.81°, I 59
- 2θ = 49.39°, I 716
- 2θ = 50.50°, I 278
- 2θ = 57.80°, I 152
- 2θ = 59.78°, I 168
- 2θ = 62.04°, I 285
- 2θ = 64.50°, I 62

Structural model:
a = 6.307 Å, b = 6.307 Å, c = 6.307 Å
α = 100.30°, β = 100.30°, γ = 129.98°
Element x y z (fractional)
1 Ag 0.000 0.000 0.000
2 Ag 0.179 0.389 0.562
3 Ag 0.389 0.826 0.210
4 Ag 0.617 0.179 0.790
5 Ag 0.826 0.617 0.438
6 Br 0.500 0.500 0.000
7 F 0.107 0.699 0.799
8 F 0.308 0.107 0.408
9 F 0.699 0.900 0.592
10 F 0.900 0.308 0.201